No. 1
Diffraction record for Rb2Cd12Ag5. The powder XRD pattern is calculated, not measured: it uses the PBE geometry in Alexandria and Cu Kα.
Kinematic intensities with the Lorentz-polarization factor, no thermal factor.

Structure:
a = 10.4918 Å, b = 10.4918 Å, c = 14.5683 Å
α = 90.00°, β = 90.00°, γ = 120.00°
Space group R-3m (No. 166, hexagonal axes)
Asymmetric unit:
Rb  0.0000  0.0000  0.1401 x6
Cd  0.0000  0.2872  0.5000 x18
Cd  0.0316  0.5158  0.3559 x18
Ag  0.0000  0.0000  0.3984 x6
Ag  0.0000  0.5000  0.0000 x9

Top 10 peaks for 2θ = 10–90°, by angle:
7.710 Å, 2θ 11.48, intensity 43; 3.029 Å, 2θ 29.49, intensity 28; 2.842 Å, 2θ 31.48, intensity 45; 2.623 Å, 2θ 34.18, intensity 68; 2.570 Å, 2θ 34.91, intensity 100; 2.453 Å, 2θ 36.64, intensity 32; 2.428 Å, 2θ 37.02, intensity 31; 2.308 Å, 2θ 39.03, intensity 97; 2.203 Å, 2θ 40.96, intensity 29; 2.004 Å, 2θ 45.25, intensity 20

***

No. 2
Diffraction record for AcPmC. The powder XRD pattern is calculated, not measured: it uses the PBE geometry in Alexandria and Cu Kα.
Kinematic intensities with the Lorentz-polarization factor, no thermal factor.

Structure:
a = 3.608 Å, b = 12.162 Å, c = 7.075 Å
α = 90.00°, β = 90.00°, γ = 90.00°
Space group Cmcm (No. 63)
Asymmetric unit:
Ac  0.000  0.244  0.250 x4
Pm  0.000  0.000  0.000 x4
C  0.000  0.425  0.750 x4

Top 10 peaks for 2θ = 10–90°, by angle:
3.459 Å, 2θ 25.75, intensity 22; 3.108 Å, 2θ 28.73, intensity 74; 3.058 Å, 2θ 29.21, intensity 100; 3.041 Å, 2θ 29.37, intensity 50; 2.519 Å, 2θ 35.65, intensity 48; 1.949 Å, 2θ 46.61, intensity 21; 1.940 Å, 2θ 46.84, intensity 19; 1.759 Å, 2θ 51.99, intensity 22; 1.553 Å, 2θ 59.52, intensity 42; 1.529 Å, 2θ 60.57, intensity 22

***

No. 3
Diffraction record for Zr2Cr3Tc. The powder XRD pattern is calculated, not measured: it uses the PBE geometry in Alexandria and Cu Kα.
Kinematic intensities with the Lorentz-polarization factor, no thermal factor.

Structure:
a = 8.823 Å, b = 5.097 Å, c = 5.128 Å
α = 90.00°, β = 125.06°, γ = 90.00°
Space group C2/m (No. 12)
Asymmetric unit:
Zr  0.124  0.000  0.373 x4
Cr  0.000  0.500  0.000 x2
Cr  0.250  0.250  0.000 x4
Tc  0.000  0.500  0.500 x2

Top 10 peaks for 2θ = 10–90°, by angle:
2.563 Å, 2θ 35.01, intensity 17; 2.548 Å, 2θ 35.23, intensity 46; 2.187 Å, 2θ 41.28, intensity 45; 2.177 Å, 2θ 41.47, intensity 100; 2.099 Å, 2θ 43.10, intensity 10; 2.082 Å, 2θ 43.46, intensity 32; 1.391 Å, 2θ 67.34, intensity 20; 1.388 Å, 2θ 67.47, intensity 19; 1.281 Å, 2θ 73.98, intensity 17; 1.274 Å, 2θ 74.49, intensity 17

***

No. 4
Diffraction record for Ca4Si23. The powder XRD pattern is calculated, not measured: it uses the PBE geometry in Alexandria and Cu Kα.
Kinematic intensities with the Lorentz-polarization factor, no thermal factor.

Structure:
a = 10.218 Å, b = 10.218 Å, c = 10.218 Å
α = 90.00°, β = 90.00°, γ = 90.00°
Space group Pm-3n (No. 223)
Asymmetric unit:
Ca  0.000  0.000  0.000 x2
Ca  0.000  0.250  0.500 x6
Si  0.000  0.308  0.118 x24
Si  0.000  0.500  0.250 x6
Si  0.184  0.184  0.184 x16

Top 10 peaks for 2θ = 10–90°, by angle:
2.950 Å, 2θ 30.30, intensity 31; 2.834 Å, 2θ 31.57, intensity 38; 2.731 Å, 2θ 32.79, intensity 100; 2.555 Å, 2θ 35.13, intensity 13; 2.478 Å, 2θ 36.25, intensity 15; 1.752 Å, 2θ 52.20, intensity 38; 1.727 Å, 2θ 53.02, intensity 13; 1.703 Å, 2θ 53.83, intensity 19; 1.658 Å, 2θ 55.43, intensity 43; 1.102 Å, 2θ 88.80, intensity 8